Starting from a DFT-relaxed cell (GGA+U, OQMD), the powder diffractogram of La2CoO4 was computed for Cu Kα (λ = 1.5418 Å).

Atomic structure:
```
La2CoO4
1.0
2.718 -6.221 0.000
2.718 6.221 0.000
0.000 0.000 5.682
La Co O
4 2 8
Direct
0.138 0.862 0.984
0.362 0.638 0.484
0.638 0.362 0.516
0.862 0.138 0.016
0.000 0.000 0.500
0.500 0.500 0.000
0.181 0.819 0.567
0.231 0.269 0.750
0.269 0.231 0.250
0.319 0.681 0.067
0.681 0.319 0.933
0.731 0.769 0.750
0.769 0.731 0.250
0.819 0.181 0.433
```

Most intense lines, 2θ from 10° to 90°, most intense first:
Position (°2θ), I/Imax
31.37, 100
31.49, 36
43.07, 36
32.96, 35
46.23, 35
23.76, 28
55.99, 21
57.86, 18